(1)
For TiZnF5, the PBE geometry in the Materials Project gives the computed powder diffraction line list in this record (Cu Kα (weighted mean of Kα1 and Kα2)).
No peak broadening, texture or thermal motion is included.

Principal peaks in the range 5° ≤ 2θ ≤ 70°, in order of rising 2θ:
Position (°2θ), intensity
19.89, 15
24.99, 11
25.26, 100
26.57, 19
26.81, 17
30.87, 21
31.07, 18
45.45, 12
47.97, 17
51.62, 17
52.02, 16
54.75, 19

Atomic structure:
```
TiZnF5
1.0
5.3197 0.0000 0.0000
0.0000 9.9481 0.0000
-2.5997 0.0000 7.1269
Ti Zn F
4 4 20
direct
0.0903 0.2456 0.3944
0.0903 0.2544 0.8944
0.9097 0.7456 0.1056
0.9097 0.7544 0.6056
0.4930 0.0016 0.7506
0.4930 0.4984 0.2506
0.5070 0.5016 0.7494
0.5070 0.9984 0.2494
0.1433 0.1912 0.6590
0.1433 0.3088 0.1590
0.1561 0.5963 0.2002
0.1561 0.9037 0.7002
0.2296 0.6374 0.6597
0.2296 0.8626 0.1597
0.3446 0.1082 0.0035
0.3446 0.3918 0.5035
0.3876 0.1127 0.4299
0.3876 0.3873 0.9299
0.6124 0.6127 0.0701
0.6124 0.8873 0.5701
0.6554 0.6082 0.4965
0.6554 0.8918 0.9965
0.7704 0.1374 0.8403
0.7704 0.3626 0.3403
0.8439 0.0963 0.2998
0.8439 0.4037 0.7998
0.8567 0.6912 0.8410
0.8567 0.8088 0.3410
```


(2)
For SiGe3, the PBE geometry in the Materials Project gives the computed powder diffraction line list in this record (Cu Kα (weighted mean of Kα1 and Kα2)).
No peak broadening, texture or thermal motion is included.

Principal peaks in the range 5° ≤ 2θ ≤ 70°, in order of rising 2θ:
Position (°2θ), intensity
18.91, 4
24.30, 10
31.82, 3
36.54, 4
37.27, 100
38.36, 23
45.62, 28
52.35, 3
59.81, 2
61.08, 23
66.49, 9
68.65, 16

Atomic structure:
```
SiGe3
1.0
3.9773 0.0000 0.0000
0.0000 3.9773 0.0000
0.0000 0.0000 9.3869
Si Ge
2 6
direct
0.0000 0.0000 0.0000
0.5000 0.5000 0.5000
0.0000 0.0000 0.5000
0.0000 0.5000 0.2500
0.0000 0.5000 0.7500
0.5000 0.0000 0.2500
0.5000 0.0000 0.7500
0.5000 0.5000 0.0000
```


(3)
For Cs2TlInBr6, the PBE geometry in the Materials Project gives the computed powder diffraction line list in this record (Cu Kα (weighted mean of Kα1 and Kα2)).
No peak broadening, texture or thermal motion is included.

Principal peaks in the range 5° ≤ 2θ ≤ 70°, in order of rising 2θ:
Position (°2θ), intensity
15.01, 25
21.29, 76
26.16, 32
30.29, 100
33.97, 11
37.33, 33
43.37, 71
48.80, 20
51.35, 12
53.82, 24
58.53, 22
63.01, 11

Atomic structure:
```
Cs2TlInBr6
1.0
0.0000 5.9009 5.9009
5.9009 0.0000 5.9009
5.9009 5.9009 0.0000
Cs Tl In Br
2 1 1 6
direct
0.2500 0.2500 0.2500
0.7500 0.7500 0.7500
0.0000 0.0000 0.0000
0.5000 0.5000 0.5000
0.2694 0.2694 0.7306
0.2694 0.7306 0.2694
0.2694 0.7306 0.7306
0.7306 0.2694 0.2694
0.7306 0.2694 0.7306
0.7306 0.7306 0.2694
```


(4)
For PtAu, the PBE geometry in the Materials Project gives the computed powder diffraction line list in this record (Cu Kα (weighted mean of Kα1 and Kα2)).
No peak broadening, texture or thermal motion is included.

Principal peaks in the range 5° ≤ 2θ ≤ 70°, in order of rising 2θ:
Position (°2θ), intensity
38.22, 34
38.41, 100
44.59, 66
64.77, 22
65.02, 22

Atomic structure:
```
PtAu
1.0
2.8690 0.0000 0.0000
-1.4345 2.4846 0.0000
0.0000 0.0000 14.1277
Pt Au
3 3
direct
0.0000 0.0000 0.0000
0.3333 0.6667 0.6667
0.6667 0.3333 0.3333
0.0000 0.0000 0.5000
0.3333 0.6667 0.1667
0.6667 0.3333 0.8333
```


(5)
For GaP, the PBE geometry in the Materials Project gives the computed powder diffraction line list in this record (Cu Kα (weighted mean of Kα1 and Kα2)).
No peak broadening, texture or thermal motion is included.

Principal peaks in the range 5° ≤ 2θ ≤ 70°, in order of rising 2θ:
Position (°2θ), intensity
26.89, 29
27.74, 34
28.08, 100
35.39, 6
42.39, 12
46.32, 47
46.75, 47
54.83, 18
55.24, 28
55.43, 14
64.76, 4
67.93, 14

Atomic structure:
```
GaP
1.0
3.8860 0.0000 0.0000
-1.9430 3.3654 0.0000
0.0000 0.0000 19.2924
Ga P
6 6
direct
0.0000 0.0000 0.0646
0.0000 0.0000 0.9354
0.3333 0.6667 0.6020
0.3333 0.6667 0.7313
0.6667 0.3333 0.2687
0.6667 0.3333 0.3980
0.0000 0.0000 0.4426
0.0000 0.0000 0.5574
0.3333 0.6667 0.1093
0.3333 0.6667 0.2241
0.6667 0.3333 0.7759
0.6667 0.3333 0.8907
```